# 1
# Mg14NbSn
Computed XRD peak list, Cu Kα (weighted mean of Kα1 and Kα2). Input: a cell relaxed with PBE.
No peak broadening, texture or thermal motion is included.

Principal peaks in the range 2θ = 10–80°, by angle:
| two_theta | d/Å | Rel. int. |
| --- | --- | --- |
| 16.09 | 5.510 | 22 |
| 17.28 | 5.131 | 18 |
| 18.28 | 4.854 | 33 |
| 33.03 | 2.712 | 29 |
| 34.98 | 2.565 | 40 |
| 37.04 | 2.427 | 53 |
| 37.51 | 2.398 | 100 |
| 48.87 | 1.864 | 19 |
| 64.40 | 1.447 | 20 |
| 69.85 | 1.347 | 20 |

Structure:
a b c (Å): 10.2617 6.3295 6.3295
angles (deg): 58.98 90.00 90.00
Sites, in units of the cell vectors:
Mg 0.0000 0.9998 0.9998
Mg 0.0000 0.9999 0.5004
Mg 0.0000 0.5004 0.9999
Mg 0.0000 0.5000 0.5000
Mg 0.2470 0.1671 0.1671
Mg 0.2526 0.1733 0.6616
Mg 0.2526 0.6616 0.1733
Mg 0.2532 0.6625 0.6625
Mg 0.5000 0.5008 0.9979
Mg 0.5000 0.9979 0.5008
Mg 0.7474 0.1733 0.6616
Mg 0.7474 0.6616 0.1733
Mg 0.7468 0.6625 0.6625
Mg 0.7530 0.1671 0.1671
Nb 0.5000 0.5004 0.5004
Sn 0.5000 0.0010 0.0010

***

# 2
# Mg6NbSn
Computed XRD peak list, Cu Kα (weighted mean of Kα1 and Kα2). Input: a cell relaxed with PBE.
No peak broadening, texture or thermal motion is included.

Principal peaks in the range 2θ = 10–80°, by angle:
| two_theta | d/Å | Rel. int. |
| --- | --- | --- |
| 16.18 | 5.477 | 84 |
| 24.13 | 3.688 | 20 |
| 24.27 | 3.667 | 30 |
| 32.70 | 2.739 | 28 |
| 33.76 | 2.655 | 36 |
| 36.00 | 2.494 | 39 |
| 37.46 | 2.401 | 100 |
| 37.84 | 2.377 | 53 |
| 39.72 | 2.269 | 22 |
| 71.01 | 1.327 | 20 |

Structure:
a b c (Å): 4.9890 6.3518 10.8171
angles (deg): 90.00 90.00 90.00
Sites, in units of the cell vectors:
Mg 0.0000 0.0000 0.0000
Mg 0.0000 0.2447 0.2510
Mg 0.0000 0.2553 0.7510
Mg 0.0000 0.5000 0.5000
Mg 0.0000 0.7447 0.7510
Mg 0.0000 0.7553 0.2510
Mg 0.5000 0.0000 0.8322
Mg 0.5000 0.2461 0.0851
Mg 0.5000 0.2539 0.5851
Mg 0.5000 0.5000 0.3322
Mg 0.5000 0.7461 0.5851
Mg 0.5000 0.7539 0.0851
Nb 0.5000 0.0000 0.3339
Nb 0.5000 0.5000 0.8339
Sn 0.0000 0.0000 0.4934
Sn 0.0000 0.5000 0.9934

***

# 3
# Mg14NbSn
Computed XRD peak list, Cu Kα (weighted mean of Kα1 and Kα2). Input: a cell relaxed with PBE.
No peak broadening, texture or thermal motion is included.

Principal peaks in the range 2θ = 10–80°, by angle:
| two_theta | d/Å | Rel. int. |
| --- | --- | --- |
| 16.20 | 5.472 | 44 |
| 23.75 | 3.746 | 32 |
| 32.73 | 2.736 | 29 |
| 33.29 | 2.691 | 14 |
| 34.92 | 2.569 | 26 |
| 37.23 | 2.415 | 100 |
| 48.61 | 1.873 | 19 |
| 58.42 | 1.580 | 17 |
| 64.15 | 1.452 | 19 |
| 69.90 | 1.346 | 19 |

Structure:
a b c (Å): 6.3188 6.3188 10.2771
angles (deg): 90.00 90.00 120.00
Sites, in units of the cell vectors:
Mg 0.0000 0.0000 0.2459
Mg 0.0000 0.0000 0.7541
Mg 0.0096 0.5048 0.2437
Mg 0.0096 0.5048 0.7563
Mg 0.3322 0.1661 0.5000
Mg 0.3355 0.1677 0.0000
Mg 0.4952 0.5048 0.2437
Mg 0.4952 0.5048 0.7563
Mg 0.4952 0.9904 0.2437
Mg 0.4952 0.9904 0.7563
Mg 0.8323 0.1677 0.0000
Mg 0.8323 0.6645 0.0000
Mg 0.8339 0.1661 0.5000
Mg 0.8339 0.6678 0.5000
Nb 0.3333 0.6667 0.0000
Sn 0.3333 0.6667 0.5000

***

# 4
# Mg14TiNb
Computed XRD peak list, Cu Kα (weighted mean of Kα1 and Kα2). Input: a cell relaxed with PBE.
No peak broadening, texture or thermal motion is included.

Principal peaks in the range 2θ = 10–80°, by angle:
| two_theta | d/Å | Rel. int. |
| --- | --- | --- |
| 18.22 | 4.868 | 15 |
| 33.21 | 2.698 | 28 |
| 35.55 | 2.525 | 40 |
| 36.93 | 2.434 | 56 |
| 37.80 | 2.380 | 100 |
| 49.43 | 1.844 | 17 |
| 58.09 | 1.588 | 18 |
| 65.33 | 1.428 | 18 |
| 69.99 | 1.344 | 20 |
| 72.52 | 1.303 | 15 |

Structure:
a b c (Å): 10.1014 6.3552 6.3552
angles (deg): 58.11 90.00 90.00
Sites, in units of the cell vectors:
Mg 0.0000 0.9996 0.9996
Mg 0.0000 0.0002 0.5007
Mg 0.0000 0.5000 0.5000
Mg 0.0000 0.5007 0.0002
Mg 0.2542 0.1625 0.1625
Mg 0.2561 0.6614 0.6614
Mg 0.2579 0.1705 0.6662
Mg 0.2579 0.6662 0.1705
Mg 0.5000 0.0014 0.5018
Mg 0.5000 0.5018 0.0014
Mg 0.7421 0.1705 0.6662
Mg 0.7421 0.6662 0.1705
Mg 0.7439 0.6614 0.6614
Mg 0.7458 0.1625 0.1625
Ti 0.5000 0.0003 0.0003
Nb 0.5000 0.5021 0.5021

***

# 5
# Mg14TiNb
Computed XRD peak list, Cu Kα (weighted mean of Kα1 and Kα2). Input: a cell relaxed with PBE.
No peak broadening, texture or thermal motion is included.

Principal peaks in the range 2θ = 10–80°, by angle:
| two_theta | d/Å | Rel. int. |
| --- | --- | --- |
| 16.13 | 5.495 | 21 |
| 24.07 | 3.697 | 13 |
| 32.59 | 2.747 | 27 |
| 35.95 | 2.498 | 25 |
| 37.35 | 2.407 | 100 |
| 49.30 | 1.848 | 16 |
| 58.16 | 1.586 | 17 |
| 65.55 | 1.424 | 18 |
| 70.30 | 1.339 | 19 |
| 71.19 | 1.325 | 14 |

Structure:
a b c (Å): 6.3447 6.3447 9.9925
angles (deg): 90.00 90.00 120.00
Sites, in units of the cell vectors:
Mg 0.0000 0.0000 0.2500
Mg 0.0000 0.0000 0.7500
Mg 0.0098 0.5049 0.2482
Mg 0.0098 0.5049 0.7518
Mg 0.3354 0.1677 0.5000
Mg 0.3358 0.1679 0.0000
Mg 0.4951 0.5049 0.2482
Mg 0.4951 0.5049 0.7518
Mg 0.4951 0.9902 0.2482
Mg 0.4951 0.9902 0.7518
Mg 0.8321 0.1679 0.0000
Mg 0.8323 0.1677 0.5000
Mg 0.8321 0.6642 0.0000
Mg 0.8323 0.6646 0.5000
Ti 0.3333 0.6667 0.5000
Nb 0.3333 0.6667 0.0000

***

# 6
# Mg14NbW
Computed XRD peak list, Cu Kα (weighted mean of Kα1 and Kα2). Input: a cell relaxed with PBE.
No peak broadening, texture or thermal motion is included.

Principal peaks in the range 2θ = 10–80°, by angle:
| two_theta | d/Å | Rel. int. |
| --- | --- | --- |
| 16.32 | 5.431 | 69 |
| 24.31 | 3.662 | 46 |
| 32.98 | 2.716 | 32 |
| 33.82 | 2.650 | 21 |
| 36.23 | 2.479 | 24 |
| 37.77 | 2.382 | 100 |
| 47.96 | 1.897 | 19 |
| 49.80 | 1.831 | 20 |
| 66.19 | 1.412 | 18 |
| 71.15 | 1.325 | 19 |

Structure:
a b c (Å): 6.2714 6.2714 9.9177
angles (deg): 90.00 90.00 120.00
Sites, in units of the cell vectors:
Mg 0.0000 0.0000 0.2483
Mg 0.0000 0.0000 0.7517
Mg 0.0168 0.5084 0.2537
Mg 0.0168 0.5084 0.7463
Mg 0.3346 0.1673 0.5000
Mg 0.3373 0.1686 0.0000
Mg 0.4916 0.5084 0.2537
Mg 0.4916 0.5084 0.7463
Mg 0.4916 0.9832 0.2537
Mg 0.4916 0.9832 0.7463
Mg 0.8314 0.1686 0.0000
Mg 0.8314 0.6627 0.0000
Mg 0.8327 0.1673 0.5000
Mg 0.8327 0.6654 0.5000
Nb 0.3333 0.6667 0.0000
W 0.3333 0.6667 0.5000

***

# 7
# Mg14NbW
Computed XRD peak list, Cu Kα (weighted mean of Kα1 and Kα2). Input: a cell relaxed with PBE.
No peak broadening, texture or thermal motion is included.

Principal peaks in the range 2θ = 10–80°, by angle:
| two_theta | d/Å | Rel. int. |
| --- | --- | --- |
| 16.02 | 5.531 | 40 |
| 17.63 | 5.032 | 29 |
| 18.30 | 4.847 | 54 |
| 23.91 | 3.722 | 25 |
| 33.68 | 2.661 | 36 |
| 34.87 | 2.573 | 21 |
| 35.69 | 2.516 | 40 |
| 37.09 | 2.424 | 60 |
| 38.26 | 2.352 | 100 |
| 49.88 | 1.828 | 23 |

Structure:
a b c (Å): 10.0637 6.3093 6.3093
angles (deg): 57.52 90.00 90.00
Sites, in units of the cell vectors:
Mg 0.0000 0.0000 0.0000
Mg 0.0000 0.0017 0.5000
Mg 0.0000 0.4992 0.4992
Mg 0.0000 0.5000 0.0017
Mg 0.2533 0.6591 0.6591
Mg 0.2600 0.1573 0.1573
Mg 0.2612 0.1665 0.6711
Mg 0.2612 0.6711 0.1665
Mg 0.5000 0.0006 0.5035
Mg 0.5000 0.5035 0.0006
Mg 0.7388 0.1665 0.6711
Mg 0.7388 0.6711 0.1665
Mg 0.7400 0.1573 0.1573
Mg 0.7467 0.6591 0.6591
Nb 0.5000 0.5043 0.5043
W 0.5000 0.0039 0.0039

***

# 8
# Mg6NbZn
Computed XRD peak list, Cu Kα (weighted mean of Kα1 and Kα2). Input: a cell relaxed with PBE.
No peak broadening, texture or thermal motion is included.

Principal peaks in the range 2θ = 10–80°, by angle:
| two_theta | d/Å | Rel. int. |
| --- | --- | --- |
| 16.30 | 5.437 | 40 |
| 18.07 | 4.909 | 29 |
| 24.43 | 3.644 | 26 |
| 33.72 | 2.658 | 34 |
| 36.61 | 2.455 | 38 |
| 37.83 | 2.378 | 56 |
| 38.52 | 2.337 | 100 |
| 50.62 | 1.803 | 21 |
| 67.18 | 1.393 | 18 |
| 71.78 | 1.315 | 19 |

Structure:
a b c (Å): 4.9091 6.0932 10.8733
angles (deg): 90.00 90.00 90.00
Sites, in units of the cell vectors:
Mg 0.0000 0.0000 0.0000
Mg 0.0000 0.0000 0.4978
Mg 0.0000 0.2438 0.2586
Mg 0.0000 0.2562 0.7586
Mg 0.0000 0.5000 0.5000
Mg 0.0000 0.5000 0.9978
Mg 0.0000 0.7438 0.7586
Mg 0.0000 0.7562 0.2586
Mg 0.5000 0.2475 0.5915
Mg 0.5000 0.2525 0.0915
Mg 0.5000 0.7475 0.0915
Mg 0.5000 0.7525 0.5915
Nb 0.5000 0.0000 0.3421
Nb 0.5000 0.5000 0.8421
Zn 0.5000 0.0000 0.8373
Zn 0.5000 0.5000 0.3373